Starting from a DFT-relaxed cell (PBE, OQMD), the powder diffractogram of DyY2Ho2Tm2Ni2Te2 was computed for CuKα.

Largest 6 diffraction maxima, sorted by position, 10° ≤ 2θ ≤ 90°:
30.4 deg, I = 49
33.1 deg, I = 80
34.1 deg, I = 100
34.6 deg, I = 91
47.3 deg, I = 34
59.0 deg, I = 31

Structural model:
```
DyY2Ho2Tm2Ni2Te2
1.0
-1.921 7.768 4.759
1.921 -7.768 4.759
1.921 7.768 -4.759
Dy Y Ho Tm Ni Te
1 2 2 2 2 2
direct
0.000 0.000 0.000 Dy
0.621 0.268 0.353 Y
0.915 0.268 0.647 Y
0.284 0.417 0.867 Ho
0.550 0.417 0.133 Ho
0.304 0.619 0.685 Tm
0.935 0.619 0.315 Tm
0.168 0.929 0.239 Ni
0.690 0.929 0.761 Ni
0.264 0.764 0.500 Te
0.663 0.663 0.000 Te
```

***

Starting from a DFT-relaxed cell (PBE, OQMD), the powder diffractogram of Dy2YHo2Tm2Ni2Te2 was computed for CuKα.

Largest 6 diffraction maxima, sorted by position, 10° ≤ 2θ ≤ 90°:
30.4 deg, I = 43
33.1 deg, I = 83
34.1 deg, I = 100
34.6 deg, I = 85
47.3 deg, I = 30
58.9 deg, I = 32

Structural model:
```
Dy2YHo2Tm2Ni2Te2
1.0
-1.921 7.780 4.765
1.921 -7.780 4.765
1.921 7.780 -4.765
Dy Y Ho Tm Ni Te
2 1 2 2 2 2
direct
0.133 0.000 0.133 Dy
0.867 0.000 0.867 Dy
0.582 0.582 0.000 Y
0.204 0.852 0.352 Ho
0.500 0.852 0.648 Ho
0.518 0.203 0.315 Tm
0.888 0.203 0.685 Tm
0.274 0.511 0.763 Ni
0.748 0.511 0.237 Ni
0.247 0.247 0.000 Te
0.846 0.346 0.500 Te
```

***

Starting from a DFT-relaxed cell (PBE, OQMD), the powder diffractogram of DyY2Ho3P2Os was computed for CuKα.

Largest 6 diffraction maxima, sorted by position, 10° ≤ 2θ ≤ 90°:
13.2 deg, I = 100
31.7 deg, I = 87
31.8 deg, I = 51
34.4 deg, I = 43
34.5 deg, I = 76
35.4 deg, I = 47

Structural model:
```
DyY2Ho3P2Os
1.0
4.136 0.000 0.000
0.000 6.718 3.847
0.000 -6.718 3.847
Dy Y Ho P Os
1 2 3 2 1
direct
0.000 0.000 0.000 Dy
0.000 0.409 0.819 Y
0.000 0.819 0.409 Y
0.500 0.160 0.408 Ho
0.500 0.408 0.160 Ho
0.500 0.660 0.660 Ho
0.500 0.076 0.741 P
0.500 0.741 0.076 P
0.000 0.408 0.408 Os
```